For Sr2CrSbO6, a GGA+U-relaxed structure gives the computed PXRD pattern in this record (Cu Kα X-rays).
Neutral-atom scattering factors, no anomalous dispersion.

Principal peaks in the range 2θ from 10° to 90°, sorted by position:
two_theta	I/Imax
19.22	10
31.64	100
37.29	6
39.01	4
45.36	35
49.69	3
56.36	39
66.09	21
75.13	17
83.80	7

Structure:
a b c (Å): 5.655 5.655 5.655
angles (deg): 60.00 60.00 60.00
Atoms (fractional coordinates):
Sr1 0.250 0.250 0.250
Sr2 0.750 0.750 0.750
Cr1 0.000 0.000 0.000
Sb1 0.500 0.500 0.500
O1 0.252 0.252 0.748
O2 0.252 0.748 0.252
O3 0.252 0.748 0.748
O4 0.748 0.252 0.252
O5 0.748 0.252 0.748
O6 0.748 0.748 0.252